This entry pairs a crystal structure of Ca5Si2O10 with its simulated powder X-ray diffraction pattern. Radiation: Cu Ka. Structure: a DFT-relaxed cell (PBE, the Materials Project).
Peak positions follow from Bragg's law for the DFT cell and can differ from measured ones.

Peak list (10 most intense, 5° ≤ 2θ ≤ 70°, in order of falling intensity)
- 29.2°, rel. 100, hkl 1 1 -3
- 34.7°, rel. 97, hkl 3 1 -1
- 30.4°, rel. 81, hkl 2 1 1
- 26.4°, rel. 78, hkl 2 1 -1
- 31.9°, rel. 68, hkl 2 1 -3
- 47.2°, rel. 63, hkl 2 2 2
- 23.1°, rel. 63, hkl 1 1 1
- 30.2°, rel. 57, hkl 0 1 3
- 47.1°, rel. 57, hkl 3 2 -2
- 53.8°, rel. 49, hkl 5 0 0

Atomic structure:
```
Ca5Si2O10
1.0
9.0188 0.0000 0.0000
0.0000 5.1146 0.0000
-3.7950 0.0000 10.8871
Ca Si O
10 4 20
Cartesian
0.0000 0.0000 0.0000
-1.8975 2.5573 5.4435
0.4424 0.0040 3.6047
-1.4551 2.5533 9.0482
3.3247 0.0088 1.2966
1.4272 2.5485 6.7402
3.7966 2.5661 4.1469
1.8991 5.1058 9.5905
6.6789 2.5613 1.8389
4.7814 5.1106 7.2824
-0.6474 0.3493 7.0436
1.2502 2.2081 1.6000
3.9736 2.9066 9.2870
5.8711 4.7654 3.8435
-2.1435 1.0274 7.2893
-0.2460 1.5299 1.8457
-0.6439 3.8302 7.0390
1.2536 3.8418 1.5954
-0.1020 1.0320 5.6261
1.7955 1.5254 0.1826
0.3277 1.0017 8.2239
2.2253 1.5556 2.7803
1.8773 3.7302 4.7779
-0.0202 3.9417 10.2214
5.2440 1.1729 0.6657
3.3465 1.3844 6.1092
2.9985 3.5590 8.1068
4.8960 4.1129 2.6632
3.4283 3.5893 10.7045
5.3258 4.0827 5.2610
3.9702 1.2728 9.2916
5.8677 1.2845 3.8481
5.4697 3.5847 9.0414
7.3672 4.0873 3.5978
```